Entry 1:
For YMg6Cu, a DFT-relaxed cell (PBE, the Materials Project) gives the calculated powder XRD pattern in this record (copper Kα).
Neutral-atom scattering factors, no anomalous dispersion.

The 6 most intense peaks (10 to 90 degrees two-theta), most intense first:
| index | two_theta | I (rel.) |
| --- | --- | --- |
| 1 2 2 | 37.88 | 100 |
| 1 0 4 | 34.86 | 58 |
| 0 0 2 | 14.71 | 43 |
| 2 0 0 | 36.26 | 42 |
| 0 2 2 | 33.10 | 38 |
| 1 0 0 | 17.90 | 29 |

Structure:
```
YMg6Cu
1.0
4.955 0.000 0.000
0.000 6.059 0.000
0.000 0.000 12.048
Y Mg Cu
2 12 2
Cartesian
0.000 0.000 0.000
0.000 3.029 6.024
0.000 1.510 2.966
0.000 1.519 8.990
0.000 4.539 8.990
0.000 4.549 2.966
2.477 0.000 1.901
2.477 0.000 7.404
2.477 1.488 4.714
2.477 1.541 10.738
2.477 3.029 1.380
2.477 3.029 7.925
2.477 4.518 10.738
2.477 4.570 4.714
0.000 0.000 5.362
0.000 3.029 11.386
```

Entry 2:
For Li3SiBiBO7, a DFT-relaxed cell (PBE, the Materials Project) gives the calculated powder XRD pattern in this record (copper Kα).
Neutral-atom scattering factors, no anomalous dispersion.

The 6 most intense peaks (10 to 90 degrees two-theta), most intense first:
| index | two_theta | I (rel.) |
| --- | --- | --- |
| 0 1 1 | 16.32 | 100 |
| 0 0 1 | 10.01 | 83 |
| 1 1 0 | 21.63 | 70 |
| 0 2 0 | 25.89 | 69 |
| 1 0 1 | 20.68 | 59 |
| 1 0 -2 | 25.64 | 41 |

Structure:
```
Li3SiBiBO7
1.0
5.136 0.000 0.000
0.000 6.884 0.000
-0.653 0.000 8.837
Li Si Bi B O
6 2 2 2 14
Cartesian
0.967 1.721 3.891
0.806 3.771 6.610
0.806 6.555 6.610
3.676 0.329 2.227
3.676 3.113 2.227
3.515 5.163 4.947
1.131 1.721 0.831
3.351 5.163 8.006
1.354 5.163 1.461
3.128 1.721 7.377
0.752 5.163 4.086
3.731 1.721 4.752
-0.420 1.721 5.768
-0.130 5.163 8.096
0.311 5.163 5.376
1.003 1.721 8.112
1.695 0.472 1.753
1.695 2.969 1.753
2.073 5.163 3.666
2.409 1.721 5.171
2.787 3.914 7.084
2.787 6.411 7.084
3.479 5.163 0.726
4.171 1.721 3.461
4.612 1.721 0.742
4.902 5.163 3.070
```